(1)
Pr2Nd3Bi3: computed powder X-ray diffraction pattern (λ = 1.5418 Å (Cu Kα)), based on a cell relaxed with PBE.

Structural model:
abc: 9.5577 9.5577 6.6193
angles: 90.00 90.00 120.00
Element x y z (fractional)
1 Pr 0.3333 0.6667 0.0000
2 Pr 0.3333 0.6667 0.5000
3 Pr 0.6667 0.3333 0.0000
4 Pr 0.6667 0.3333 0.5000
5 Nd 0.0000 0.2471 0.2500
6 Nd 0.0000 0.7529 0.7500
7 Nd 0.2471 0.0000 0.2500
8 Nd 0.2471 0.2471 0.7500
9 Nd 0.7529 0.0000 0.7500
10 Nd 0.7529 0.7529 0.2500
11 Bi 0.0000 0.3861 0.7500
12 Bi 0.0000 0.6139 0.2500
13 Bi 0.3861 0.0000 0.7500
14 Bi 0.3861 0.3861 0.2500
15 Bi 0.6139 0.0000 0.2500
16 Bi 0.6139 0.6139 0.7500

Largest 12 diffraction maxima, most intense first, 10° ≤ 2θ ≤ 80°:
d/Å, 2θ (°), I_rel
2.828, 31.6, 100
2.721, 32.9, 78
2.759, 32.5, 58
1.803, 50.6, 31
3.310, 26.9, 26
3.128, 28.5, 21
2.169, 41.6, 21
1.481, 62.8, 20
1.937, 46.9, 19
1.655, 55.5, 18
1.419, 65.8, 16
3.875, 23.0, 13

=====

(2)
BaCu3H6: computed powder X-ray diffraction pattern (λ = 1.5418 Å (Cu Kα)), based on a cell relaxed with PBE.

Structural model:
abc: 4.5814 4.5814 5.7942
angles: 100.30 100.30 105.24
Element x y z (fractional)
1 Ba 0.0000 0.0000 0.0000
2 Cu 0.1962 0.5522 0.5825
3 Cu 0.5522 0.1962 0.5825
4 Cu 0.6694 0.6694 0.3769
5 H 0.3665 0.3665 0.3863
6 H 0.4119 0.9238 0.7282
7 H 0.4302 0.4302 0.7885
8 H 0.5881 0.9738 0.3132
9 H 0.9238 0.4119 0.7282
10 H 0.9738 0.5881 0.3132

Largest 12 diffraction maxima, most intense first, 10° ≤ 2θ ≤ 80°:
d/Å, 2θ (°), I_rel
3.059, 29.2, 100
2.207, 40.9, 53
3.042, 29.4, 49
2.730, 32.8, 46
3.867, 23.0, 45
2.629, 34.1, 43
2.144, 42.1, 41
2.769, 32.3, 24
2.184, 41.3, 19
1.839, 49.6, 18
1.722, 53.2, 17
1.858, 49.0, 15

=====

- What is the formula in the first record?
  Pr2Nd3Bi3